Starting from a PBE+U-relaxed structure, the powder diffraction line list of CoP4O12 was calculated for Cu Kα.

The 10 most intense peaks (2θ = 10–90°), sorted by position:
Position (°2θ), intensity
15.4, 33
18.5, 100
20.1, 40
20.2, 56
22.3, 39
23.2, 51
24.3, 41
31.3, 49
32.6, 35
35.5, 49

Cell and atoms:
Unit cell a=7.7256 b=7.7256 c=9.4091 alpha=108.37 beta=108.37 gamma=58.47
Fractional coordinates of all 34 atoms:
1 Co 0.0000 0.5000 0.0000
2 Co 0.5000 0.0000 0.5000
3 P 0.2088 0.7150 0.9303
4 P 0.2613 0.4177 0.3654
5 P 0.2850 0.7912 0.5697
6 P 0.4177 0.2613 0.8654
7 P 0.5823 0.7387 0.1346
8 P 0.7150 0.2088 0.4303
9 P 0.7387 0.5823 0.6346
10 P 0.7912 0.2850 0.0697
11 O 0.0485 0.8426 0.8126
12 O 0.1148 0.4527 0.2179
13 O 0.1215 0.6911 0.0417
14 O 0.1574 0.9515 0.6874
15 O 0.1920 0.6350 0.4839
16 O 0.2623 0.2792 0.9424
17 O 0.2792 0.2623 0.4424
18 O 0.3089 0.8785 0.4583
19 O 0.3614 0.4864 0.8465
20 O 0.3650 0.8080 0.0161
21 O 0.4527 0.1148 0.7179
22 O 0.4864 0.3614 0.3465
23 O 0.5136 0.6386 0.6535
24 O 0.5473 0.8852 0.2821
25 O 0.6350 0.1920 0.9839
26 O 0.6386 0.5136 0.1535
27 O 0.6911 0.1215 0.5417
28 O 0.7208 0.7377 0.5576
29 O 0.7377 0.7208 0.0576
30 O 0.8080 0.3650 0.5161
31 O 0.8426 0.0485 0.3126
32 O 0.8785 0.3089 0.9583
33 O 0.8852 0.5473 0.7821
34 O 0.9515 0.1574 0.1874